(1)
For Dy12NiSn6, a PBE-relaxed structure gives the calculated powder X-ray diffraction pattern in this record (copper Kα).
Neutral-atom scattering factors, no anomalous dispersion.

Crystal structure
Cell lengths 8.5865, 8.5865, 8.5865 Å; angles 99.39, 99.39, 99.39 degrees
Element x y z (fractional)
Dy: 0.0140 0.9448 0.6897
Dy: 0.0552 0.3103 0.9860
Dy: 0.1968 0.5572 0.4238
Dy: 0.3103 0.9860 0.0552
Dy: 0.4238 0.1968 0.5572
Dy: 0.4428 0.5762 0.8032
Dy: 0.5572 0.4238 0.1968
Dy: 0.5762 0.8032 0.4428
Dy: 0.6897 0.0140 0.9448
Dy: 0.8032 0.4428 0.5762
Dy: 0.9448 0.6897 0.0140
Dy: 0.9860 0.0552 0.3103
Ni: 0.0000 0.0000 0.0000
Sn: 0.1209 0.3111 0.6401
Sn: 0.3111 0.6401 0.1209
Sn: 0.3599 0.8791 0.6889
Sn: 0.6401 0.1209 0.3111
Sn: 0.6889 0.3599 0.8791
Sn: 0.8791 0.6889 0.3599

Largest 10 diffraction maxima, by intensity, 2θ = 15–90°:
d/Å, I/Imax
2.796, 1000
2.486, 807
2.947, 594
2.475, 579
2.394, 488
3.508, 465
4.045, 447
3.274, 273
2.572, 244
1.728, 234



(2)
For V2SnPd8, a PBE-relaxed structure gives the calculated powder X-ray diffraction pattern in this record (copper Kα).
Neutral-atom scattering factors, no anomalous dispersion.

Crystal structure
Cell lengths 7.3598, 7.3598, 6.2250 Å; angles 104.05, 104.05, 31.38 degrees
Element x y z (fractional)
V: 0.2249 0.2249 0.1459
V: 0.7751 0.7751 0.8541
Sn: 0.5000 0.5000 0.5000
Pd: 0.0463 0.0463 0.2304
Pd: 0.1489 0.1489 0.7098
Pd: 0.3174 0.3174 0.5816
Pd: 0.4002 0.4002 0.0338
Pd: 0.5998 0.5998 0.9662
Pd: 0.6826 0.6826 0.4184
Pd: 0.8511 0.8511 0.2902
Pd: 0.9537 0.9537 0.7696

Largest 10 diffraction maxima, by intensity, 2θ = 15–90°:
d/Å, I/Imax
2.289, 1000
2.276, 995
1.990, 337
1.962, 316
1.978, 294
1.398, 290
1.403, 187
1.197, 123
1.199, 119
1.183, 118